This entry pairs a crystal structure of Be5Fe2Co with its theoretical XRD peak list. Radiation: Cu Kα, 1.54184 Å. Structure: a structure optimized by DFT (GGA-PBE).

Crystal structure
a = 2.388 Å, b = 4.492 Å, c = 13.638 Å
α = 90.00°, β = 90.00°, γ = 90.00°
Space group Immm (No. 71)
Inequivalent atoms, fractional coordinates:
Be 0.000 0.000 0.000
Be 0.000 0.245 0.384
Fe 0.000 0.000 0.237
Co 0.000 0.500 0.000

Main lines, by angle (10° ≤ 2θ ≤ 90°):
| d_spacing | intensity | h k l |
| --- | --- | --- |
| 6.819 | 386 | 0 0 2 |
| 4.266 | 290 | 0 1 1 |
| 3.409 | 932 | 0 0 4 |
| 3.195 | 448 | 0 1 3 |
| 2.246 | 313 | 0 2 0 |
| 2.014 | 1000 | 1 1 2 |
| 1.876 | 543 | 0 2 4 |
| 1.797 | 205 | 1 0 5 |
| 1.546 | 346 | 1 1 6 |
| 1.247 | 181 | 1 3 2 |